# Ba2Ga2SbAs2
Computed powder XRD pattern, Cu Kα X-rays. Input: a structure optimized by DFT (GGA-PBE).

Top 8 peaks for 2θ = 5–70°, sorted by position:
hkl 0 1 2, 2θ = 25.9°, d = 3.441 Å, rel. 777; hkl 1 0 2, 2θ = 27.6°, d = 3.236 Å, rel. 933; hkl 1 -1 0, 2θ = 29.2°, d = 3.054 Å, rel. 1000; hkl 1 2 0, 2θ = 30.6°, d = 2.924 Å, rel. 732; hkl 0 2 -1, 2θ = 33.8°, d = 2.649 Å, rel. 450; hkl 1 1 3, 2θ = 35.0°, d = 2.566 Å, rel. 446; hkl 2 1 1, 2θ = 38.0°, d = 2.367 Å, rel. 631; hkl 0 1 -3, 2θ = 40.7°, d = 2.216 Å, rel. 468

abc: 4.733 6.478 8.029
angles: 76.28 72.99 68.69
Fractional coordinates of all 7 atoms:
Ba 0.047 0.166 0.240
Ba 0.953 0.834 0.760
Ga 0.289 0.568 0.354
Ga 0.711 0.432 0.646
Sb 0.500 0.500 0.000
As 0.318 0.252 0.611
As 0.682 0.748 0.389